# 1
Eu2ZnPtO6: theoretical powder diffraction line list (Cu Kα (weighted mean of Kα1 and Kα2)), based on a GGA-PBE-relaxed structure.
Neutral-atom scattering factors, no anomalous dispersion.

Structural model:
Unit cell a=5.540 b=5.782 c=9.582 alpha=90.00 beta=125.27 gamma=90.00
Space group P2_1/c (No. 14)
One atom of each set of equivalent atoms:
Eu  0.236  0.063  0.251
Zn  0.500  0.000  0.000
Pt  0.000  0.000  0.500
O  0.133  0.205  0.946
O  0.251  0.692  0.950
O  0.351  0.036  0.747

Top 10 peaks for 2θ from 10° to 80°, by angle:
d 4.650, I 10, (0 1 1); d 2.891, I 22, (0 2 0); d 2.797, I 100, (1 1 1); d 2.770, I 25, (2 0 -2); d 2.000, I 20, (2 2 -2); d 1.956, I 13, (0 0 4); d 1.650, I 11, (1 3 -3); d 1.604, I 22, (3 1 -5); d 1.598, I 11, (2 0 2); d 1.398, I 11, (2 2 -6)


# 2
RbEuS2O8: theoretical powder diffraction line list (Cu Kα (weighted mean of Kα1 and Kα2)), based on a GGA-PBE-relaxed structure.
Neutral-atom scattering factors, no anomalous dispersion.

Structural model:
Unit cell a=13.878 b=5.507 c=9.733 alpha=90.00 beta=102.46 gamma=90.00
Space group C2/c (No. 15)
One atom of each set of equivalent atoms:
Rb  0.250  0.250  0.000
Eu  0.000  0.179  0.250
S  0.087  0.263  0.613
O  0.019  0.194  0.907
O  0.106  0.497  0.183
O  0.116  0.275  0.473
O  0.144  0.067  0.701

Top 10 peaks for 2θ from 10° to 80°, by angle:
d 6.776, I 54, (2 0 0); d 4.353, I 40, (2 0 -2); d 3.547, I 57, (2 0 2); d 3.471, I 100, (3 1 -1); d 2.795, I 57, (1 1 -3); d 2.753, I 20, (0 2 0); d 2.253, I 24, (5 1 1); d 2.177, I 18, (4 0 -4); d 2.173, I 20, (3 1 3); d 2.138, I 28, (5 1 -3)


# 3
Eu3ReO8: theoretical powder diffraction line list (Cu Kα (weighted mean of Kα1 and Kα2)), based on a GGA-PBE-relaxed structure.
Neutral-atom scattering factors, no anomalous dispersion.

Structural model:
Unit cell a=8.385 b=12.176 c=6.336 alpha=90.00 beta=90.00 gamma=90.00
Space group Cmcm (No. 63)
One atom of each set of equivalent atoms:
Eu  0.000  0.107  0.250
Eu  0.220  0.390  0.250
Re  0.000  0.319  0.750
O  0.000  0.157  0.750
O  0.000  0.307  0.049
O  0.000  0.470  0.750
O  0.167  0.000  0.000
O  0.225  0.308  0.750

Top 10 peaks for 2θ from 10° to 80°, by angle:
d 3.167, I 61, (0 0 2); d 3.044, I 15, (0 4 0); d 3.032, I 100, (2 2 1); d 2.195, I 18, (0 4 2); d 2.096, I 13, (4 0 0); d 1.836, I 11, (3 5 0); d 1.802, I 25, (2 2 3); d 1.748, I 13, (4 0 2); d 1.645, I 10, (1 7 1); d 1.584, I 10, (0 0 4)


# 4
Sr3EuRhO6: theoretical powder diffraction line list (Cu Kα (weighted mean of Kα1 and Kα2)), based on a GGA-PBE-relaxed structure.
Neutral-atom scattering factors, no anomalous dispersion.

Structural model:
Unit cell a=9.8780 b=9.8780 c=11.6359 alpha=90.00 beta=90.00 gamma=120.00
Space group R-3c (No. 167, hexagonal axes)
One atom of each set of equivalent atoms:
Sr  0.0000  0.3684  0.2500
Eu  0.0000  0.0000  0.2500
Rh  0.0000  0.0000  0.0000
O  0.0248  0.1824  0.3931

Top 10 peaks for 2θ from 10° to 80°, by angle:
d 4.939, I 41, (1 1 0); d 3.050, I 43, (1 1 3); d 2.852, I 100, (3 0 0); d 2.754, I 13, (1 0 4); d 2.405, I 33, (0 2 4); d 2.163, I 40, (2 1 4); d 2.083, I 27, (2 2 3); d 1.646, I 15, (3 3 0); d 1.627, I 27, (3 2 4); d 1.603, I 15, (3 0 6)


# 5
SrEuScO4: theoretical powder diffraction line list (Cu Kα (weighted mean of Kα1 and Kα2)), based on a GGA-PBE-relaxed structure.
Neutral-atom scattering factors, no anomalous dispersion.

Structural model:
Unit cell a=4.062 b=4.062 c=12.493 alpha=90.00 beta=90.00 gamma=90.00
Space group I4mm (No. 107)
One atom of each set of equivalent atoms:
Sr  0.000  0.000  0.000
Eu  0.000  0.000  0.283
Sc  0.000  0.000  0.642
O  0.000  0.000  0.467
O  0.000  0.000  0.812
O  0.000  0.500  0.151

Top 10 peaks for 2θ from 10° to 80°, by angle:
d 6.246, I 14, (0 0 2); d 3.863, I 40, (1 0 1); d 3.123, I 14, (0 0 4); d 2.908, I 100, (1 0 3); d 2.873, I 77, (1 1 0); d 2.128, I 16, (1 0 5); d 2.114, I 38, (1 1 4); d 2.031, I 41, (2 0 0); d 1.686, I 15, (1 1 6); d 1.665, I 39, (2 1 3)


# 6
EuSeO4: theoretical powder diffraction line list (Cu Kα (weighted mean of Kα1 and Kα2)), based on a GGA-PBE-relaxed structure.
Neutral-atom scattering factors, no anomalous dispersion.

Structural model:
Unit cell a=6.931 b=7.398 c=8.662 alpha=90.00 beta=126.53 gamma=90.00
Space group P2_1/c (No. 14)
One atom of each set of equivalent atoms:
Eu  0.186  0.153  0.281
Se  0.309  0.662  0.196
O  0.115  0.660  0.611
O  0.179  0.000  0.746
O  0.342  0.603  0.024
O  0.404  0.210  0.118

Top 10 peaks for 2θ from 10° to 80°, by angle:
d 3.480, I 55, (0 0 2); d 3.266, I 100, (0 2 1); d 3.149, I 18, (0 1 2); d 3.060, I 91, (2 1 -2); d 2.785, I 24, (2 0 0); d 2.606, I 17, (2 1 0); d 2.077, I 31, (2 1 -4); d 1.990, I 29, (2 3 -1); d 1.876, I 22, (2 2 1); d 1.841, I 24, (2 3 -3)


Repeat the sixth record exactly.
EuSeO4: theoretical powder diffraction line list (Cu Kα (weighted mean of Kα1 and Kα2)), based on a GGA-PBE-relaxed structure.
Neutral-atom scattering factors, no anomalous dispersion.

Structural model:
Unit cell a=6.931 b=7.398 c=8.662 alpha=90.00 beta=126.53 gamma=90.00
Space group P2_1/c (No. 14)
One atom of each set of equivalent atoms:
Eu  0.186  0.153  0.281
Se  0.309  0.662  0.196
O  0.115  0.660  0.611
O  0.179  0.000  0.746
O  0.342  0.603  0.024
O  0.404  0.210  0.118

Top 10 peaks for 2θ from 10° to 80°, by angle:
d 3.480, I 55, (0 0 2); d 3.266, I 100, (0 2 1); d 3.149, I 18, (0 1 2); d 3.060, I 91, (2 1 -2); d 2.785, I 24, (2 0 0); d 2.606, I 17, (2 1 0); d 2.077, I 31, (2 1 -4); d 1.990, I 29, (2 3 -1); d 1.876, I 22, (2 2 1); d 1.841, I 24, (2 3 -3)


What is the formula in the second record?
RbEuS2O8